1.
For CaYRhAu, a GGA-PBE-relaxed structure gives the computed XRD peak list in this record (Cu Kα, 1.54184 Å).
No peak broadening, texture or thermal motion is included.

The 8 most intense peaks (10° ≤ 2θ ≤ 90°), low angle first:
- 2θ 16.0, intensity 277
- 2θ 24.2, intensity 490
- 2θ 32.0, intensity 878
- 2θ 32.3, intensity 267
- 2θ 38.6, intensity 413
- 2θ 39.6, intensity 1000
- 2θ 42.0, intensity 294
- 2θ 46.6, intensity 217

Structural model:
a b c (Å): 4.299 3.897 11.093
angles (deg): 90.00 90.00 90.00
Fractional coordinates of all 8 atoms:
Ca  0.000  0.000  0.000
Ca  0.000  0.500  0.500
Y  0.500  0.000  0.715
Y  0.500  0.500  0.215
Rh  0.000  0.000  0.267
Rh  0.000  0.500  0.767
Au  0.500  0.000  0.434
Au  0.500  0.500  0.934


2.
For Li6InRh2, a GGA-PBE-relaxed structure gives the computed XRD peak list in this record (Cu Kα, 1.54184 Å).
No peak broadening, texture or thermal motion is included.

The 8 most intense peaks (10° ≤ 2θ ≤ 90°), low angle first:
- 2θ 23.2, intensity 1000
- 2θ 40.7, intensity 294
- 2θ 41.6, intensity 507
- 2θ 47.4, intensity 143
- 2θ 54.1, intensity 115
- 2θ 59.7, intensity 114
- 2θ 64.3, intensity 113
- 2θ 74.8, intensity 114

Structural model:
a b c (Å): 5.154 5.154 5.147
angles (deg): 96.29 96.29 96.12
Fractional coordinates of all 9 atoms:
Li  0.175  0.500  0.325
Li  0.175  0.825  0.000
Li  0.500  0.175  0.325
Li  0.500  0.825  0.675
Li  0.825  0.175  0.000
Li  0.825  0.500  0.675
In  0.000  0.000  0.500
Rh  0.336  0.336  0.836
Rh  0.664  0.664  0.164


3.
For SmTa2ReC4, a GGA-PBE-relaxed structure gives the computed XRD peak list in this record (Cu Kα, 1.54184 Å).
No peak broadening, texture or thermal motion is included.

The 8 most intense peaks (10° ≤ 2θ ≤ 90°), low angle first:
- 2θ 31.3, intensity 525
- 2θ 31.9, intensity 460
- 2θ 32.6, intensity 1000
- 2θ 37.3, intensity 165
- 2θ 39.6, intensity 887
- 2θ 43.3, intensity 165
- 2θ 45.3, intensity 262
- 2θ 66.0, intensity 225

Structural model:
a b c (Å): 5.954 5.954 11.211
angles (deg): 90.00 90.00 148.02
Fractional coordinates of all 16 atoms:
Sm  0.105  0.895  0.750
Sm  0.895  0.105  0.250
Ta  0.372  0.628  0.536
Ta  0.372  0.628  0.964
Ta  0.628  0.372  0.036
Ta  0.628  0.372  0.464
Re  0.159  0.841  0.250
Re  0.841  0.159  0.750
C  0.000  0.000  0.000
C  0.000  0.000  0.500
C  0.263  0.737  0.112
C  0.263  0.737  0.388
C  0.439  0.561  0.750
C  0.561  0.439  0.250
C  0.737  0.263  0.612
C  0.737  0.263  0.888


4.
For PrIn3Cu3, a GGA-PBE-relaxed structure gives the computed XRD peak list in this record (Cu Kα, 1.54184 Å).
No peak broadening, texture or thermal motion is included.

The 8 most intense peaks (10° ≤ 2θ ≤ 90°), low angle first:
- 2θ 25.2, intensity 425
- 2θ 31.0, intensity 1000
- 2θ 44.4, intensity 195
- 2θ 48.1, intensity 575
- 2θ 51.7, intensity 262
- 2θ 58.3, intensity 159
- 2θ 76.1, intensity 159
- 2θ 84.4, intensity 164

Structural model:
a b c (Å): 7.073 7.073 7.073
angles (deg): 90.00 90.00 90.00
Fractional coordinates of all 14 atoms:
Pr  0.000  0.000  0.000
Pr  0.500  0.500  0.500
In  0.000  0.250  0.500
In  0.000  0.750  0.500
In  0.250  0.500  0.000
In  0.500  0.000  0.250
In  0.500  0.000  0.750
In  0.750  0.500  0.000
Cu  0.000  0.500  0.250
Cu  0.000  0.500  0.750
Cu  0.250  0.000  0.500
Cu  0.500  0.250  0.000
Cu  0.500  0.750  0.000
Cu  0.750  0.000  0.500


5.
For BeNb2SbF, a GGA-PBE-relaxed structure gives the computed XRD peak list in this record (Cu Kα, 1.54184 Å).
No peak broadening, texture or thermal motion is included.

The 8 most intense peaks (10° ≤ 2θ ≤ 90°), low angle first:
- 2θ 19.6, intensity 234
- 2θ 28.5, intensity 141
- 2θ 34.8, intensity 1000
- 2θ 39.7, intensity 371
- 2θ 41.8, intensity 159
- 2θ 57.4, intensity 121
- 2θ 59.0, intensity 222
- 2θ 68.9, intensity 255

Structural model:
a b c (Å): 4.540 4.540 4.318
angles (deg): 90.00 90.00 90.00
Fractional coordinates of all 5 atoms:
Be  0.000  0.000  0.000
Nb  0.000  0.500  0.000
Nb  0.500  0.000  0.000
Sb  0.000  0.000  0.500
F  0.500  0.500  0.500


6.
For Na2Ta2VSe6, a GGA-PBE-relaxed structure gives the computed XRD peak list in this record (Cu Kα, 1.54184 Å).
No peak broadening, texture or thermal motion is included.

The 8 most intense peaks (10° ≤ 2θ ≤ 90°), low angle first:
- 2θ 12.0, intensity 1000
- 2θ 18.5, intensity 153
- 2θ 32.3, intensity 583
- 2θ 33.5, intensity 328
- 2θ 39.9, intensity 151
- 2θ 42.6, intensity 119
- 2θ 44.0, intensity 211
- 2θ 50.3, intensity 178

Structural model:
a b c (Å): 6.315 6.315 7.587
angles (deg): 96.59 96.59 120.43
Fractional coordinates of all 11 atoms:
Na  0.181  0.819  0.000
Na  0.819  0.181  0.000
Ta  0.365  0.635  0.500
Ta  0.635  0.365  0.500
V  0.000  0.000  0.500
Se  0.049  0.391  0.697
Se  0.250  0.250  0.263
Se  0.391  0.049  0.697
Se  0.609  0.951  0.303
Se  0.750  0.750  0.737
Se  0.951  0.609  0.303


7.
For Ba3TlI, a GGA-PBE-relaxed structure gives the computed XRD peak list in this record (Cu Kα, 1.54184 Å).
No peak broadening, texture or thermal motion is included.

The 8 most intense peaks (10° ≤ 2θ ≤ 90°), low angle first:
- 2θ 21.2, intensity 214
- 2θ 24.8, intensity 184
- 2θ 25.3, intensity 252
- 2θ 27.8, intensity 1000
- 2θ 31.9, intensity 259
- 2θ 35.8, intensity 231
- 2θ 37.2, intensity 206
- 2θ 38.7, intensity 206

Structural model:
a b c (Å): 4.653 9.656 11.341
angles (deg): 90.00 90.00 90.00
Fractional coordinates of all 10 atoms:
Ba  0.250  0.022  0.160
Ba  0.250  0.250  0.581
Ba  0.250  0.478  0.160
Ba  0.750  0.522  0.840
Ba  0.750  0.750  0.419
Ba  0.750  0.978  0.840
Tl  0.250  0.250  0.897
Tl  0.750  0.750  0.103
I  0.250  0.750  0.671
I  0.750  0.250  0.329


8.
For Li3Ac2Zn4, a GGA-PBE-relaxed structure gives the computed XRD peak list in this record (Cu Kα, 1.54184 Å).
No peak broadening, texture or thermal motion is included.

The 8 most intense peaks (10° ≤ 2θ ≤ 90°), low angle first:
- 2θ 19.6, intensity 309
- 2θ 20.9, intensity 475
- 2θ 24.4, intensity 569
- 2θ 27.8, intensity 499
- 2θ 35.1, intensity 1000
- 2θ 37.3, intensity 406
- 2θ 50.2, intensity 230
- 2θ 54.1, intensity 456

Structural model:
a b c (Å): 8.656 8.656 8.656
angles (deg): 130.06 84.49 116.91
Fractional coordinates of all 18 atoms:
Li  0.023  0.250  0.773
Li  0.250  0.250  0.000
Li  0.477  0.250  0.227
Li  0.523  0.750  0.773
Li  0.750  0.750  0.000
Li  0.977  0.750  0.227
Ac  0.118  0.711  0.829
Ac  0.382  0.211  0.593
Ac  0.618  0.789  0.407
Ac  0.882  0.289  0.171
Zn  0.019  0.860  0.598
Zn  0.238  0.640  0.159
Zn  0.262  0.421  0.402
Zn  0.481  0.079  0.841
Zn  0.519  0.921  0.159
Zn  0.738  0.579  0.598
Zn  0.762  0.360  0.841
Zn  0.981  0.140  0.402


9.
For LaMgAlCu2, a GGA-PBE-relaxed structure gives the computed XRD peak list in this record (Cu Kα, 1.54184 Å).
No peak broadening, texture or thermal motion is included.

The 8 most intense peaks (10° ≤ 2θ ≤ 90°), low angle first:
- 2θ 15.4, intensity 401
- 2θ 30.3, intensity 679
- 2θ 31.7, intensity 1000
- 2θ 34.2, intensity 933
- 2θ 43.4, intensity 545
- 2θ 45.0, intensity 660
- 2θ 54.7, intensity 413
- 2θ 64.3, intensity 435

Structural model:
a b c (Å): 4.169 4.169 11.507
angles (deg): 90.00 90.00 90.00
Fractional coordinates of all 10 atoms:
La  0.000  0.000  0.000
La  0.500  0.500  0.500
Mg  0.000  0.500  0.750
Mg  0.500  0.000  0.250
Al  0.000  0.500  0.250
Al  0.500  0.000  0.750
Cu  0.000  0.000  0.390
Cu  0.000  0.000  0.610
Cu  0.500  0.500  0.110
Cu  0.500  0.500  0.890


10.
For Ce5P12Ru19, a GGA-PBE-relaxed structure gives the computed XRD peak list in this record (Cu Kα, 1.54184 Å).
No peak broadening, texture or thermal motion is included.

The 8 most intense peaks (10° ≤ 2θ ≤ 90°), low angle first:
- 2θ 28.3, intensity 165
- 2θ 36.3, intensity 1000
- 2θ 37.3, intensity 263
- 2θ 37.7, intensity 113
- 2θ 45.6, intensity 235
- 2θ 50.1, intensity 137
- 2θ 70.0, intensity 99
- 2θ 78.1, intensity 104

Structural model:
a b c (Å): 12.624 12.624 3.980
angles (deg): 90.00 90.00 120.00
Fractional coordinates of all 36 atoms:
Ce  0.000  0.814  0.000
Ce  0.186  0.186  0.000
Ce  0.333  0.667  0.500
Ce  0.667  0.333  0.500
Ce  0.814  0.000  0.000
P  0.000  0.185  0.500
P  0.000  0.625  0.500
P  0.171  0.476  0.000
P  0.185  0.000  0.500
P  0.305  0.829  0.000
P  0.375  0.375  0.500
P  0.476  0.171  0.000
P  0.524  0.695  0.000
P  0.625  0.000  0.500
P  0.695  0.524  0.000
P  0.815  0.815  0.500
P  0.829  0.305  0.000
Ru  0.000  0.000  0.500
Ru  0.000  0.283  0.000
Ru  0.000  0.444  0.500
Ru  0.126  0.633  0.000
Ru  0.184  0.376  0.500
Ru  0.192  0.816  0.500
Ru  0.283  0.000  0.000
Ru  0.367  0.493  0.000
Ru  0.376  0.184  0.500
Ru  0.444  0.000  0.500
Ru  0.493  0.367  0.000
Ru  0.507  0.874  0.000
Ru  0.556  0.556  0.500
Ru  0.624  0.808  0.500
Ru  0.633  0.126  0.000
Ru  0.717  0.717  0.000
Ru  0.808  0.624  0.500
Ru  0.816  0.192  0.500
Ru  0.874  0.507  0.000


11.
For MgIn2Ag5, a GGA-PBE-relaxed structure gives the computed XRD peak list in this record (Cu Kα, 1.54184 Å).
No peak broadening, texture or thermal motion is included.

The 8 most intense peaks (10° ≤ 2θ ≤ 90°), low angle first:
- 2θ 18.7, intensity 66
- 2θ 37.2, intensity 527
- 2θ 37.9, intensity 1000
- 2θ 53.7, intensity 175
- 2θ 55.8, intensity 78
- 2θ 67.6, intensity 339
- 2θ 69.0, intensity 160
- 2θ 81.1, intensity 102

Structural model:
a b c (Å): 6.829 6.829 6.593
angles (deg): 90.00 90.00 90.00
Fractional coordinates of all 16 atoms:
Mg  0.000  0.000  0.000
Mg  0.500  0.500  0.500
In  0.000  0.500  0.001
In  0.000  0.500  0.501
In  0.500  0.000  0.001
In  0.500  0.000  0.501
Ag  0.000  0.000  0.501
Ag  0.250  0.250  0.251
Ag  0.250  0.250  0.751
Ag  0.250  0.750  0.251
Ag  0.250  0.750  0.751
Ag  0.500  0.500  0.001
Ag  0.750  0.250  0.251
Ag  0.750  0.250  0.751
Ag  0.750  0.750  0.251
Ag  0.750  0.750  0.751


12.
For Pm4AsAuSe2, a GGA-PBE-relaxed structure gives the computed XRD peak list in this record (Cu Kα, 1.54184 Å).
No peak broadening, texture or thermal motion is included.

The 8 most intense peaks (10° ≤ 2θ ≤ 90°), low angle first:
- 2θ 29.8, intensity 1000
- 2θ 42.2, intensity 129
- 2θ 42.7, intensity 502
- 2θ 43.2, intensity 122
- 2θ 53.4, intensity 131
- 2θ 61.9, intensity 124
- 2θ 70.3, intensity 227
- 2θ 78.8, intensity 84

Structural model:
a b c (Å): 7.359 4.190 7.374
angles (deg): 90.00 108.85 90.00
Fractional coordinates of all 8 atoms:
Pm  0.242  0.000  0.246
Pm  0.245  0.500  0.749
Pm  0.755  0.500  0.251
Pm  0.758  0.000  0.754
As  0.000  0.500  0.000
Au  0.500  0.000  0.000
Se  0.000  0.000  0.500
Se  0.500  0.500  0.500